1.
Diffraction record for Tm3Zn8Cu. The PXRD pattern is calculated, not measured: it uses a DFT-relaxed cell (PBE, Alexandria) and Cu Kα.

Cell and atoms:
```
Tm3Zn8Cu
1.0
2.657 1.534 8.681
-2.657 1.534 8.681
0.000 -3.068 8.681
Tm Zn Cu
3 8 1
direct
0.000 0.000 0.000
0.126 0.126 0.126
0.512 0.512 0.512
0.064 0.565 0.565
0.066 0.066 0.568
0.066 0.568 0.066
0.316 0.316 0.316
0.565 0.064 0.565
0.565 0.565 0.064
0.568 0.066 0.066
0.816 0.816 0.816
0.633 0.633 0.633
```

Top 10 peaks for 2θ from 10° to 80°, in order of rising 2θ:
| Position (°2θ) | I/Imax |
| --- | --- |
| 20.47 | 7 |
| 25.83 | 4 |
| 30.91 | 4 |
| 33.73 | 53 |
| 39.78 | 100 |
| 41.63 | 21 |
| 60.33 | 19 |
| 64.06 | 3 |
| 64.41 | 30 |
| 70.93 | 22 |

2.
Diffraction record for Tm2ZrCu. The PXRD pattern is calculated, not measured: it uses a DFT-relaxed cell (PBE, Alexandria) and Cu Kα.

Cell and atoms:
```
Tm2ZrCu
1.0
3.345 0.000 0.000
0.000 3.345 0.000
0.000 0.000 8.245
Tm Zr Cu
2 1 1
direct
0.000 0.000 0.217
0.000 0.000 0.783
0.500 0.500 0.500
0.500 0.500 0.000
```

Top 10 peaks for 2θ from 10° to 80°, in order of rising 2θ:
| Position (°2θ) | I/Imax |
| --- | --- |
| 26.65 | 13 |
| 34.53 | 100 |
| 38.04 | 43 |
| 42.57 | 7 |
| 43.93 | 9 |
| 54.89 | 15 |
| 59.48 | 14 |
| 62.83 | 8 |
| 66.49 | 29 |
| 72.82 | 8 |

3.
Diffraction record for V2Cu. The PXRD pattern is calculated, not measured: it uses a DFT-relaxed cell (PBE, Alexandria) and Cu Kα.

Cell and atoms:
```
V2Cu
1.0
2.475 0.000 0.000
0.014 4.308 0.000
0.446 0.009 7.275
V Cu
4 2
direct
0.008 0.249 0.260
0.324 0.750 0.073
0.676 0.250 0.927
0.992 0.751 0.740
0.418 0.250 0.590
0.582 0.750 0.410
```

Top 10 peaks for 2θ from 10° to 80°, in order of rising 2θ:
| Position (°2θ) | I/Imax |
| --- | --- |
| 41.94 | 55 |
| 42.79 | 100 |
| 42.98 | 43 |
| 44.66 | 41 |
| 44.76 | 41 |
| 61.49 | 14 |
| 61.73 | 13 |
| 65.57 | 12 |
| 77.17 | 14 |
| 77.29 | 13 |

4.
Diffraction record for V3Cu2. The PXRD pattern is calculated, not measured: it uses a DFT-relaxed cell (PBE, Alexandria) and Cu Kα.

Cell and atoms:
```
V3Cu2
1.0
4.295 0.000 0.000
0.000 4.292 0.000
-2.129 0.000 6.977
V Cu
6 4
direct
0.000 0.000 0.000
0.099 0.500 0.199
0.401 0.000 0.801
0.500 0.500 0.000
0.599 0.000 0.199
0.901 0.500 0.801
0.204 0.000 0.407
0.296 0.500 0.593
0.704 0.500 0.407
0.796 0.000 0.593
```

Top 10 peaks for 2θ from 10° to 80°, in order of rising 2θ:
| Position (°2θ) | I/Imax |
| --- | --- |
| 12.69 | 5 |
| 25.53 | 1 |
| 35.30 | 2 |
| 42.09 | 58 |
| 44.08 | 100 |
| 44.16 | 1 |
| 61.05 | 17 |
| 67.08 | 6 |
| 78.20 | 8 |
| 78.36 | 23 |